Calculated powder X-ray diffraction pattern of Ba6W3O14 for Cu Ka, from DFT lattice parameters and positions (GGA+U).
Peak positions follow from Bragg's law for the DFT cell and can differ from measured ones.

Most intense lines, 15° ≤ 2θ ≤ 90°, in order of rising 2θ:
- (1 1 0), d = 4.990 Å, 17.8 deg, I 178
- (1 0 1), d = 4.435 Å, 20.0 deg, I 207
- (1 1 1), d = 3.589 Å, 24.8 deg, I 463
- (0 2 1), d = 3.315 Å, 26.9 deg, I 1000
- (3 0 0), d = 2.881 Å, 31.0 deg, I 227
- (2 2 0), d = 2.495 Å, 36.0 deg, I 228
- (3 1 0), d = 2.397 Å, 37.5 deg, I 261
- (2 0 2), d = 2.218 Å, 40.7 deg, I 208
- (3 2 1), d = 1.851 Å, 49.2 deg, I 192
- (1 3 2), d = 1.757 Å, 52.0 deg, I 168

Crystal structure
```
data_Ba6W3O14
_cell_length_a 9.9799
_cell_length_b 9.9799
_cell_length_c 5.1673
_cell_angle_alpha 90.00
_cell_angle_beta 90.00
_cell_angle_gamma 120.00
_space_group_name_H-M_alt 'P 3'
_space_group_IT_number 143
loop_
_space_group_symop_operation_xyz
'x,y,z'
'-y,x-y,z'
'-x+y,-x,z'
loop_
_atom_site_label
_atom_site_type_symbol
_atom_site_fract_x
_atom_site_fract_y
_atom_site_fract_z
Ba1 Ba 0.0025 0.4279 0.0000
Ba2 Ba 0.3309 0.2356 0.5389
W1 W 0.0000 0.0000 0.0957
W2 W 0.3333 0.6667 0.5668
W3 W 0.6667 0.3333 0.2651
O1 O 0.0000 0.0000 0.7434
O2 O 0.0588 0.1931 0.2154
O3 O 0.1978 0.7226 0.6914
O4 O 0.3333 0.6667 0.2152
O5 O 0.4619 0.2757 0.0485
O6 O 0.5215 0.1281 0.4815
```